# BaCaGaBiO6
Theoretical XRD peak list, CuKα. Input: the PBE geometry in the Materials Project.
Neutral-atom scattering factors, no anomalous dispersion.

Structure:
Cell: 8.2279 8.2279 8.2279 Å, 90.00 90.00 90.00°
Space group F-43m (No. 216)
Symmetry-distinct sites (fractional):
Ba 0.0000 0.0000 0.0000
Ca 0.0000 0.0000 0.5000
Ga 0.2500 0.2500 0.2500
Bi 0.2500 0.2500 0.7500
O 0.0074 0.2500 0.2500

Largest 12 diffraction maxima, in order of rising 2θ, 2θ = 10–90°:
two_theta	I (rel.)	hkl
18.68	29	1 1 1
21.60	13	2 0 0
30.74	100	2 2 0
36.21	19	3 1 1
44.02	31	4 0 0
48.21	9	3 3 1
54.65	40	4 2 2
58.27	7	3 3 3
64.01	19	4 4 0
67.33	7	5 3 1
72.68	18	6 2 0
89.04	22	6 4 2